(1)
This entry pairs a crystal structure of Zr2TcIr with its computed X-ray powder pattern. Radiation: Cu Kα X-rays. Structure: DFT lattice parameters and positions (GGA-PBE).
No peak broadening, texture or thermal motion is included.

Structural model:
```
Zr2TcIr
1.0
6.6015 0.0000 0.0000
0.0000 6.6015 0.0000
0.0000 0.0000 6.6015
Zr Tc Ir
8 4 4
Cartesian
1.6504 1.6504 1.6504
1.6504 1.6504 4.9511
1.6504 4.9511 1.6504
1.6504 4.9511 4.9511
4.9511 1.6504 1.6504
4.9511 1.6504 4.9511
4.9511 4.9511 1.6504
4.9511 4.9511 4.9511
0.0000 0.0000 0.0000
0.0000 3.3007 3.3007
3.3007 0.0000 3.3007
3.3007 3.3007 0.0000
0.0000 0.0000 3.3007
0.0000 3.3007 0.0000
3.3007 0.0000 0.0000
3.3007 3.3007 3.3007
```

Main lines, by intensity (2θ from 10° to 80°):
2theta  Rel. int.
38.57  100
69.79  34
55.69  17
23.34  8
27.01  6
45.57  4
62.97  2
61.20  2



(2)
This entry pairs a crystal structure of Te8Ir3 with its computed X-ray powder pattern. Radiation: Cu Kα X-rays. Structure: DFT lattice parameters and positions (GGA-PBE).
No peak broadening, texture or thermal motion is included.

Structural model:
```
Te8Ir3
1.0
4.6468 2.6828 3.7080
-4.6468 2.6828 3.7080
0.0000 -5.3657 3.7080
Te Ir
8 3
Cartesian
-2.3323 0.0236 4.2209
0.0000 0.0000 1.4640
-1.1866 -2.0080 6.9031
1.1457 -2.0316 4.2209
-1.1457 2.0316 6.9031
1.1866 2.0080 4.2209
0.0000 0.0000 9.6599
2.3323 -0.0236 6.9031
-4.6468 0.0000 5.5620
-2.3234 1.3414 1.8540
2.3234 1.3414 1.8540
```

Main lines, by intensity (2θ from 10° to 80°):
2theta  Rel. int.
30.46  100
46.10  66
33.58  54
27.35  42
34.11  41
30.85  41
45.83  35
46.65  31



(3)
This entry pairs a crystal structure of Te8Ir3 with its computed X-ray powder pattern. Radiation: Cu Kα X-rays. Structure: DFT lattice parameters and positions (GGA-PBE).
No peak broadening, texture or thermal motion is included.

Structural model:
```
Te8Ir3
1.0
9.1499 0.0000 0.0000
4.5748 7.9992 0.0000
0.0059 0.1146 11.3309
Te Ir
24 9
Cartesian
2.3065 4.0069 1.4556
3.5549 6.0121 4.2530
4.6482 6.8563 8.0194
1.2051 0.7750 10.8451
3.3030 1.9979 4.2898
4.5848 4.1272 7.0922
5.6786 4.8070 10.8229
6.8032 6.7042 5.2394
6.8445 6.7022 2.3316
3.4639 0.7531 8.0270
4.5329 1.3788 0.4565
5.6912 3.3543 3.3087
8.0394 4.7595 8.0222
9.1977 6.7350 10.8744
10.2667 7.3607 3.3039
6.8860 1.4116 8.9993
6.9274 1.4096 6.0915
8.0519 3.3068 0.5080
9.1457 3.9866 4.2386
10.4275 6.1160 7.0411
12.5254 7.3388 0.4858
9.0823 1.2575 3.3115
10.1756 2.1017 7.0779
11.4241 4.1069 9.8752
2.2903 4.0569 5.6654
4.5763 5.3495 1.8783
4.6061 2.7501 9.4334
6.8970 6.7624 9.4494
4.5779 0.0573 5.6654
6.8653 4.0569 5.6654
6.8335 1.3514 1.8815
9.1244 5.3637 1.8975
9.1542 2.7643 9.4526
```

Main lines, by intensity (2θ from 10° to 80°):
2theta  Rel. int.
30.70  100
46.38  74
45.99  53
27.38  49
33.84  47
30.48  38
39.13  32
33.51  26